The following is a theoretical X-ray diffraction stick pattern of SmSc3Ru4. It was derived from a DFT-relaxed cell (GGA-PBE, Alexandria), using Cu Kα, 1.54184 Å.

Top 10 peaks for 2θ = 10–80°, sorted by position:
2θ/deg  intensity
13.50  3
19.17  4
23.52  5
27.23  4
30.52  4
38.89  100
45.95  3
56.09  5
56.21  11
70.42  33

Structure:
Cell: 4.6289 4.6289 6.5591 Å, 90.00 90.00 90.00°
Positions (direct):
Sm 0.0000 0.0000 0.0000
Sc 0.0000 0.0000 0.5000
Sc 0.5000 0.5000 0.0000
Sc 0.5000 0.5000 0.5000
Ru 0.0000 0.5000 0.2593
Ru 0.0000 0.5000 0.7407
Ru 0.5000 0.0000 0.2593
Ru 0.5000 0.0000 0.7407

---

The following is a theoretical X-ray diffraction stick pattern of ScTaRu. It was derived from a DFT-relaxed cell (GGA-PBE, Alexandria), using Cu Kα, 1.54184 Å.

Top 10 peaks for 2θ = 10–80°, sorted by position:
2θ/deg  intensity
17.15  38
29.28  21
38.43  100
39.94  48
43.76  15
52.73  15
53.13  8
57.77  16
68.49  15
71.54  31

Structure:
Cell: 3.1920 3.1920 10.3430 Å, 90.00 90.00 90.00°
Positions (direct):
Sc 0.0000 0.0000 0.0000
Sc 0.5000 0.5000 0.5000
Ta 0.0000 0.0000 0.6910
Ta 0.5000 0.5000 0.1910
Ru 0.0000 0.0000 0.3301
Ru 0.5000 0.5000 0.8301

---

The following is a theoretical X-ray diffraction stick pattern of ScTaRu. It was derived from a DFT-relaxed cell (GGA-PBE, Alexandria), using Cu Kα, 1.54184 Å.

Top 10 peaks for 2θ = 10–80°, sorted by position:
2θ/deg  intensity
12.52  45
34.59  14
38.18  25
39.13  100
39.59  25
47.11  10
56.17  16
56.90  8
69.64  15
71.52  25

Structure:
Cell: 4.5532 14.1444 3.2365 Å, 90.00 90.00 90.00°
Positions (direct):
Sc 0.0000 0.1770 0.0000
Sc 0.0000 0.8230 0.0000
Sc 0.5000 0.3230 0.0000
Sc 0.5000 0.6770 0.0000
Ta 0.0000 0.0000 0.5000
Ta 0.0000 0.5000 0.0000
Ta 0.5000 0.0000 0.0000
Ta 0.5000 0.5000 0.5000
Ru 0.0000 0.3449 0.5000
Ru 0.0000 0.6551 0.5000
Ru 0.5000 0.1551 0.5000
Ru 0.5000 0.8449 0.5000

---

The following is a theoretical X-ray diffraction stick pattern of Tb5Sc2Ru5. It was derived from a DFT-relaxed cell (GGA-PBE, Alexandria), using Cu Kα, 1.54184 Å.

Top 10 peaks for 2θ = 10–80°, sorted by position:
2θ/deg  intensity
13.86  16
31.78  31
33.58  38
37.41  35
37.55  100
39.43  13
51.25  12
54.05  12
64.16  12
67.73  29

Structure:
Cell: 13.0750 13.0750 13.0750 Å, 21.11 21.11 21.11°
Positions (direct):
Tb 0.0000 0.0000 0.0000
Tb 0.1914 0.1914 0.1914
Tb 0.2822 0.2822 0.2822
Tb 0.7178 0.7178 0.7178
Tb 0.8086 0.8086 0.8086
Sc 0.4283 0.4283 0.4283
Sc 0.5717 0.5717 0.5717
Ru 0.1119 0.1119 0.1119
Ru 0.3569 0.3569 0.3569
Ru 0.5000 0.5000 0.5000
Ru 0.6431 0.6431 0.6431
Ru 0.8881 0.8881 0.8881

---

The following is a theoretical X-ray diffraction stick pattern of TbSc3Ru3. It was derived from a DFT-relaxed cell (GGA-PBE, Alexandria), using Cu Kα, 1.54184 Å.

Top 10 peaks for 2θ = 10–80°, sorted by position:
2θ/deg  intensity
19.66  69
33.89  64
34.65  18
39.04  100
39.93  74
44.07  26
57.07  21
65.20  12
70.72  13
71.32  20

Structure:
Cell: 5.6323 5.6323 5.6323 Å, 110.04 110.04 110.04°
Positions (direct):
Tb 0.0000 0.0000 0.0000
Sc 0.4090 0.4090 0.8253
Sc 0.4090 0.8253 0.4090
Sc 0.8253 0.4090 0.4090
Ru 0.4092 0.9029 0.9029
Ru 0.9029 0.4092 0.9029
Ru 0.9029 0.9029 0.4092

---

The following is a theoretical X-ray diffraction stick pattern of ScTc2Ru. It was derived from a DFT-relaxed cell (GGA-PBE, Alexandria), using Cu Kα, 1.54184 Å.

Top 10 peaks for 2θ = 10–80°, sorted by position:
2θ/deg  intensity
24.59  6
28.47  4
40.70  100
48.13  3
50.42  1
58.92  16
64.81  1
66.71  1
74.07  32
79.41  1

Structure:
Cell: 6.2702 6.2702 6.2702 Å, 90.00 90.00 90.00°
Positions (direct):
Sc 0.0000 0.0000 0.0000
Sc 0.0000 0.5000 0.5000
Sc 0.5000 0.0000 0.5000
Sc 0.5000 0.5000 0.0000
Tc 0.0000 0.0000 0.5000
Tc 0.0000 0.5000 0.0000
Tc 0.2500 0.2500 0.7500
Tc 0.2500 0.7500 0.2500
Tc 0.5000 0.0000 0.0000
Tc 0.5000 0.5000 0.5000
Tc 0.7500 0.2500 0.2500
Tc 0.7500 0.7500 0.7500
Ru 0.2500 0.2500 0.2500
Ru 0.2500 0.7500 0.7500
Ru 0.7500 0.2500 0.7500
Ru 0.7500 0.7500 0.2500

---

The following is a theoretical X-ray diffraction stick pattern of ScTiRu2. It was derived from a DFT-relaxed cell (GGA-PBE, Alexandria), using Cu Kα, 1.54184 Å.

Top 10 peaks for 2θ = 10–80°, sorted by position:
2θ/deg  intensity
28.13  9
28.50  19
40.48  100
40.74  50
50.24  8
58.17  8
58.98  16
66.79  4
73.44  15
73.98  31

Structure:
Cell: 3.1320 3.1320 6.3438 Å, 90.00 90.00 90.00°
Positions (direct):
Sc 0.0000 0.0000 0.0000
Ti 0.0000 0.0000 0.5000
Ru 0.5000 0.5000 0.2653
Ru 0.5000 0.5000 0.7347

---

The following is a theoretical X-ray diffraction stick pattern of Sc3TlRu. It was derived from a DFT-relaxed cell (GGA-PBE, Alexandria), using Cu Kα, 1.54184 Å.

Top 10 peaks for 2θ = 10–80°, sorted by position:
2θ/deg  intensity
22.75  89
30.25  15
33.59  16
36.99  100
39.95  39
46.47  23
49.98  23
55.57  19
62.92  15
70.61  24

Structure:
Cell: 9.0232 8.4051 5.4797 Å, 77.93 65.63 36.43°
Positions (direct):
Sc 0.1938 0.5742 0.4258
Sc 0.2012 0.2012 0.7988
Sc 0.4258 0.8062 0.1938
Sc 0.5742 0.1938 0.8062
Sc 0.7988 0.7988 0.2012
Sc 0.8062 0.4258 0.5742
Tl 0.2246 0.7754 0.7754
Tl 0.7754 0.2246 0.2246
Ru 0.2500 0.2500 0.2500
Ru 0.7500 0.7500 0.7500

---

The following is a theoretical X-ray diffraction stick pattern of Tm2Sc3Ru2. It was derived from a DFT-relaxed cell (GGA-PBE, Alexandria), using Cu Kα, 1.54184 Å.

Top 10 peaks for 2θ = 10–80°, sorted by position:
2θ/deg  intensity
17.56  28
24.36  48
24.80  24
32.36  54
33.78  54
35.48  100
35.66  26
36.54  56
47.33  29
49.64  25

Structure:
Cell: 11.0356 3.8410 7.9866 Å, 90.00 113.78 90.00°
Positions (direct):
Tm 0.1562 0.0000 0.3024
Tm 0.3438 0.5000 0.6976
Tm 0.6562 0.5000 0.3024
Tm 0.8438 0.0000 0.6976
Sc 0.0000 0.5000 0.5000
Sc 0.1254 0.5000 0.9292
Sc 0.3746 0.0000 0.0708
Sc 0.5000 0.0000 0.5000
Sc 0.6254 0.0000 0.9292
Sc 0.8746 0.5000 0.0708
Ru 0.1649 0.0000 0.7177
Ru 0.3351 0.5000 0.2823
Ru 0.6649 0.5000 0.7177
Ru 0.8351 0.0000 0.2823

---

The following is a theoretical X-ray diffraction stick pattern of Tm5ScRu3. It was derived from a DFT-relaxed cell (GGA-PBE, Alexandria), using Cu Kα, 1.54184 Å.

Top 10 peaks for 2θ = 10–80°, sorted by position:
2θ/deg  intensity
20.82  47
29.51  100
29.87  46
30.05  34
32.25  44
33.09  42
38.98  59
43.41  37
49.61  36
49.79  36

Structure:
Cell: 7.4004 7.4004 9.5214 Å, 105.58 105.58 73.02°
Positions (direct):
Tm 0.0349 0.0349 0.3464
Tm 0.1220 0.5107 0.3568
Tm 0.1988 0.8012 0.0000
Tm 0.2635 0.2635 0.9463
Tm 0.4893 0.8780 0.6432
Tm 0.5107 0.1220 0.3568
Tm 0.7365 0.7365 0.0537
Tm 0.8012 0.1988 0.0000
Tm 0.8780 0.4893 0.6432
Tm 0.9651 0.9651 0.6536
Sc 0.4264 0.4264 0.7158
Sc 0.5736 0.5736 0.2842
Ru 0.1635 0.1635 0.1627
Ru 0.1952 0.1952 0.6258
Ru 0.5000 0.5000 0.0000
Ru 0.5000 0.5000 0.5000
Ru 0.8048 0.8048 0.3742
Ru 0.8365 0.8365 0.8373

---

The following is a theoretical X-ray diffraction stick pattern of Tm3ScRu3. It was derived from a DFT-relaxed cell (GGA-PBE, Alexandria), using Cu Kα, 1.54184 Å.

Top 10 peaks for 2θ = 10–80°, sorted by position:
2θ/deg  intensity
19.18  33
33.09  24
33.44  32
33.55  48
38.53  100
38.93  79
43.39  25
52.28  24
55.94  20
59.70  23

Structure:
Cell: 5.6758 5.6758 5.6758 Å, 109.20 109.20 109.20°
Positions (direct):
Tm 0.1952 0.1952 0.6096
Tm 0.1952 0.6096 0.1952
Tm 0.6096 0.1952 0.1952
Sc 0.7813 0.7813 0.7813
Ru 0.1901 0.6972 0.6972
Ru 0.6972 0.1901 0.6972
Ru 0.6972 0.6972 0.1901

---

The following is a theoretical X-ray diffraction stick pattern of TmZr2ScRu4. It was derived from a DFT-relaxed cell (GGA-PBE, Alexandria), using Cu Kα, 1.54184 Å.

Top 10 peaks for 2θ = 10–80°, sorted by position:
2θ/deg  intensity
11.69  5
22.50  5
29.71  3
35.58  2
38.86  100
40.73  2
49.67  1
53.71  1
56.13  17
70.37  33

Structure:
Cell: 8.0284 8.0284 8.0284 Å, 33.55 33.55 33.55°
Positions (direct):
Tm 0.0000 0.0000 0.0000
Zr 0.2480 0.2480 0.2480
Zr 0.7520 0.7520 0.7520
Sc 0.5000 0.5000 0.5000
Ru 0.1264 0.1264 0.1264
Ru 0.3767 0.3767 0.3767
Ru 0.6233 0.6233 0.6233
Ru 0.8736 0.8736 0.8736